1.
# Ca2InHg3
Simulated powder XRD pattern, λ = 1.5418 Å (Cu Kα). Input: the PBE geometry in Alexandria.

Crystal structure
Cell: 4.060 4.524 18.719 Å, 90.00 90.00 90.00°
Space group Imm2 (No. 44)
One atom of each set of equivalent atoms:
Ca 0.000 0.000 0.000 (multiplicity 2)
Ca 0.000 0.500 0.249 (multiplicity 2)
In 0.000 0.000 0.586 (multiplicity 2)
Hg 0.000 0.000 0.432 (multiplicity 2)
Hg 0.000 0.500 0.673 (multiplicity 2)
Hg 0.000 0.500 0.826 (multiplicity 2)

Main lines, in order of falling intensity (10° ≤ 2θ ≤ 90°):
- 2.877 Å, 31.1 deg, rel. 100
- 4.397 Å, 20.2 deg, rel. 76
- 2.170 Å, 41.6 deg, rel. 53
- 3.968 Å, 22.4 deg, rel. 51
- 2.752 Å, 32.5 deg, rel. 40
- 2.302 Å, 39.1 deg, rel. 35
- 2.262 Å, 39.9 deg, rel. 27
- 1.747 Å, 52.4 deg, rel. 21
- 2.030 Å, 44.6 deg, rel. 19
- 1.523 Å, 60.8 deg, rel. 19

2.
# Cs2NaZnF5
Simulated powder XRD pattern, λ = 1.5418 Å (Cu Kα). Input: the PBE geometry in Alexandria.

Crystal structure
Cell: 7.665 7.665 6.920 Å, 90.00 90.00 90.00°
Space group P4/mbm (No. 127)
One atom of each set of equivalent atoms:
Cs 0.175 0.325 0.000 (multiplicity 4)
Na 0.000 0.000 0.500 (multiplicity 2)
Zn 0.000 0.500 0.500 (multiplicity 2)
F 0.000 0.000 0.000 (multiplicity 2)
F 0.132 0.632 0.308 (multiplicity 8)

Main lines, in order of falling intensity (10° ≤ 2θ ≤ 90°):
- 3.072 Å, 29.1 deg, rel. 100
- 3.353 Å, 26.6 deg, rel. 73
- 2.435 Å, 36.9 deg, rel. 64
- 6.920 Å, 12.8 deg, rel. 47
- 3.460 Å, 25.7 deg, rel. 39
- 5.420 Å, 16.4 deg, rel. 32
- 2.288 Å, 39.4 deg, rel. 28
- 3.428 Å, 26.0 deg, rel. 24
- 1.795 Å, 50.9 deg, rel. 23
- 1.638 Å, 56.2 deg, rel. 18

3.
# Ta6Nb4W
Simulated powder XRD pattern, λ = 1.5418 Å (Cu Kα). Input: the PBE geometry in Alexandria.

Crystal structure
Cell: 4.7497 4.7497 20.7097 Å, 90.00 90.00 120.00°
Space group P6_3/mmc (No. 194)
One atom of each set of equivalent atoms:
Ta 0.0000 0.0000 0.0000 (multiplicity 2)
Ta 0.0000 0.0000 0.2500 (multiplicity 2)
Ta 0.3333 0.6667 0.0929 (multiplicity 4)
Ta 0.3333 0.6667 0.6815 (multiplicity 4)
Nb 0.0000 0.0000 0.1296 (multiplicity 4)
Nb 0.3333 0.6667 0.5451 (multiplicity 4)
W 0.3333 0.6667 0.2500 (multiplicity 2)

Main lines, in order of falling intensity (10° ≤ 2θ ≤ 90°):
- 2.375 Å, 37.9 deg, rel. 100
- 2.402 Å, 37.4 deg, rel. 58
- 2.191 Å, 41.2 deg, rel. 28
- 1.376 Å, 68.1 deg, rel. 20
- 1.689 Å, 54.3 deg, rel. 20
- 1.371 Å, 68.4 deg, rel. 18
- 1.333 Å, 70.7 deg, rel. 11
- 1.187 Å, 81.0 deg, rel. 11
- 1.610 Å, 57.2 deg, rel. 11
- 2.919 Å, 30.6 deg, rel. 7

4.
# Li9LaMg3
Simulated powder XRD pattern, λ = 1.5418 Å (Cu Kα). Input: the PBE geometry in Alexandria.

Crystal structure
Cell: 5.892 14.173 7.534 Å, 90.00 109.82 90.00°
Space group C2/m (No. 12)
One atom of each set of equivalent atoms:
Li 0.000 0.000 0.000 (multiplicity 2)
Li 0.099 0.106 0.717 (multiplicity 8)
Li 0.164 0.322 0.855 (multiplicity 8)
La 0.000 0.500 0.500 (multiplicity 2)
Mg 0.000 0.500 0.000 (multiplicity 2)
Mg 0.250 0.250 0.500 (multiplicity 4)

Main lines, in order of falling intensity (10° ≤ 2θ ≤ 90°):
- 7.087 Å, 12.5 deg, rel. 100
- 5.162 Å, 17.2 deg, rel. 66
- 3.542 Å, 25.1 deg, rel. 62
- 4.995 Å, 17.8 deg, rel. 41
- 2.505 Å, 35.8 deg, rel. 36
- 3.169 Å, 28.2 deg, rel. 34
- 3.595 Å, 24.8 deg, rel. 30
- 3.479 Å, 25.6 deg, rel. 28
- 2.581 Å, 34.8 deg, rel. 27
- 2.495 Å, 36.0 deg, rel. 25

5.
# KFe2Te
Simulated powder XRD pattern, λ = 1.5418 Å (Cu Kα). Input: the PBE geometry in Alexandria.

Crystal structure
Cell: 7.401 4.274 6.811 Å, 90.00 111.19 90.00°
Space group Cm (No. 8)
One atom of each set of equivalent atoms:
K 0.000 0.000 0.000 (multiplicity 2)
Fe 0.305 0.500 0.418 (multiplicity 2)
Fe 0.474 0.000 0.424 (multiplicity 2)
Te 0.185 0.000 0.560 (multiplicity 2)

Main lines, in order of falling intensity (10° ≤ 2θ ≤ 90°):
- 6.350 Å, 13.9 deg, rel. 100
- 2.137 Å, 42.3 deg, rel. 45
- 2.025 Å, 44.8 deg, rel. 31
- 2.655 Å, 33.8 deg, rel. 31
- 2.922 Å, 30.6 deg, rel. 27
- 1.773 Å, 51.6 deg, rel. 24
- 3.175 Å, 28.1 deg, rel. 23
- 3.633 Å, 24.5 deg, rel. 18
- 1.694 Å, 54.1 deg, rel. 13
- 2.193 Å, 41.2 deg, rel. 12

6.
# Li3AlB2O6
Simulated powder XRD pattern, λ = 1.5418 Å (Cu Kα). Input: the PBE geometry in Alexandria.

Crystal structure
Cell: 4.918 6.326 8.044 Å, 73.49 89.07 89.13°
Space group P-1 (No. 2)
One atom of each set of equivalent atoms:
Li 0.170 0.263 0.389 (multiplicity 2)
Li 0.177 0.969 0.738 (multiplicity 2)
Li 0.319 0.102 0.071 (multiplicity 2)
Al 0.350 0.444 0.725 (multiplicity 2)
B 0.165 0.676 0.093 (multiplicity 2)
B 0.342 0.821 0.430 (multiplicity 2)
O 0.119 0.337 0.894 (multiplicity 2)
O 0.212 0.992 0.321 (multiplicity 2)
O 0.227 0.704 0.591 (multiplicity 2)
O 0.290 0.840 0.970 (multiplicity 2)
O 0.313 0.518 0.218 (multiplicity 2)
O 0.388 0.243 0.605 (multiplicity 2)

Main lines, in order of falling intensity (10° ≤ 2θ ≤ 90°):
- 2.801 Å, 31.9 deg, rel. 100
- 3.021 Å, 29.6 deg, rel. 33
- 2.458 Å, 36.6 deg, rel. 30
- 2.495 Å, 36.0 deg, rel. 28
- 3.775 Å, 23.6 deg, rel. 28
- 3.731 Å, 23.8 deg, rel. 23
- 6.065 Å, 14.6 deg, rel. 22
- 2.504 Å, 35.9 deg, rel. 21
- 2.967 Å, 30.1 deg, rel. 18
- 4.220 Å, 21.1 deg, rel. 17

7.
# LaPmN
Simulated powder XRD pattern, λ = 1.5418 Å (Cu Kα). Input: the PBE geometry in Alexandria.

Crystal structure
Cell: 6.371 5.976 7.261 Å, 90.00 90.40 90.00°
Space group P2_1/c (No. 14)
One atom of each set of equivalent atoms:
La 0.085 0.246 0.370 (multiplicity 4)
Pm 0.417 0.734 0.873 (multiplicity 4)
N 0.259 0.501 0.116 (multiplicity 4)

Main lines, in order of falling intensity (10° ≤ 2θ ≤ 90°):
- 2.811 Å, 31.8 deg, rel. 100
- 2.783 Å, 32.2 deg, rel. 98
- 2.796 Å, 32.0 deg, rel. 95
- 2.988 Å, 29.9 deg, rel. 69
- 1.839 Å, 49.6 deg, rel. 22
- 1.683 Å, 54.5 deg, rel. 21
- 1.689 Å, 54.3 deg, rel. 21
- 1.566 Å, 59.0 deg, rel. 21
- 1.828 Å, 49.9 deg, rel. 20
- 1.559 Å, 59.3 deg, rel. 20

8.
# Pu2Zn2Ge3
Simulated powder XRD pattern, λ = 1.5418 Å (Cu Kα). Input: the PBE geometry in Alexandria.

Crystal structure
Cell: 4.420 18.735 6.770 Å, 90.00 90.00 90.00°
Space group Cmcm (No. 63)
One atom of each set of equivalent atoms:
Pu 0.000 0.045 0.250 (multiplicity 4)
Pu 0.000 0.155 0.750 (multiplicity 4)
Zn 0.000 0.309 0.554 (multiplicity 8)
Ge 0.000 0.216 0.250 (multiplicity 4)
Ge 0.000 0.436 0.063 (multiplicity 8)

Main lines, in order of falling intensity (10° ≤ 2θ ≤ 90°):
- 2.633 Å, 34.0 deg, rel. 100
- 2.660 Å, 33.7 deg, rel. 83
- 2.210 Å, 40.8 deg, rel. 35
- 2.835 Å, 31.6 deg, rel. 30
- 2.033 Å, 44.6 deg, rel. 25
- 1.344 Å, 70.0 deg, rel. 22
- 1.496 Å, 62.0 deg, rel. 19
- 3.852 Å, 23.1 deg, rel. 18
- 4.302 Å, 20.6 deg, rel. 17
- 3.385 Å, 26.3 deg, rel. 16

9.
# Ac4ThSb6
Simulated powder XRD pattern, λ = 1.5418 Å (Cu Kα). Input: the PBE geometry in Alexandria.

Crystal structure
Cell: 12.8246 12.8246 16.7481 Å, 90.00 90.00 120.00°
Space group R-3c (No. 167, hexagonal axes)
One atom of each set of equivalent atoms:
Ac 0.0000 0.0000 0.2500 (multiplicity 6)
Ac 0.0000 0.3823 0.2500 (multiplicity 18)
Th 0.0000 0.0000 0.0000 (multiplicity 6)
Sb 0.0272 0.2103 0.3899 (multiplicity 36)

Main lines, in order of falling intensity (10° ≤ 2θ ≤ 90°):
- 2.780 Å, 32.2 deg, rel. 100
- 2.964 Å, 30.1 deg, rel. 99
- 3.702 Å, 24.0 deg, rel. 82
- 3.030 Å, 29.5 deg, rel. 80
- 3.343 Å, 26.7 deg, rel. 71
- 2.177 Å, 41.5 deg, rel. 52
- 1.484 Å, 62.6 deg, rel. 43
- 2.424 Å, 37.1 deg, rel. 34
- 4.211 Å, 21.1 deg, rel. 27
- 2.791 Å, 32.1 deg, rel. 26

10.
# LaTb2Ce3Te6
Simulated powder XRD pattern, λ = 1.5418 Å (Cu Kα). Input: the PBE geometry in Alexandria.

Crystal structure
Cell: 7.692 13.348 7.803 Å, 90.00 109.26 90.00°
Space group C2/m (No. 12)
One atom of each set of equivalent atoms:
La 0.000 0.000 0.000 (multiplicity 2)
Tb 0.000 0.332 0.000 (multiplicity 4)
Ce 0.000 0.161 0.500 (multiplicity 4)
Ce 0.000 0.500 0.500 (multiplicity 2)
Te 0.237 0.500 0.241 (multiplicity 4)
Te 0.246 0.329 0.753 (multiplicity 8)

Main lines, in order of falling intensity (10° ≤ 2θ ≤ 90°):
- 3.158 Å, 28.3 deg, rel. 100
- 2.244 Å, 40.2 deg, rel. 39
- 2.223 Å, 40.6 deg, rel. 37
- 1.418 Å, 65.9 deg, rel. 18
- 1.819 Å, 50.2 deg, rel. 13
- 1.579 Å, 58.4 deg, rel. 13
- 1.406 Å, 66.5 deg, rel. 11
- 1.288 Å, 73.5 deg, rel. 8
- 1.842 Å, 49.5 deg, rel. 7
- 1.815 Å, 50.3 deg, rel. 7